Diffraction record for La7Mn8O24. The XRD peak list is calculated, not measured: it uses a GGA+U-relaxed structure and λ = 1.5418 Å (Cu Kα).
Kinematic intensities with the Lorentz-polarization factor, no thermal factor.

Cell: 9.6294 9.6294 9.6294 Å, 132.39 132.39 69.61°
Sites, in units of the cell vectors:
La1 0.0000 0.0000 0.0000
La2 0.2495 0.2495 0.0000
La3 0.2500 0.7500 0.5000
La4 0.5000 0.5000 0.0000
La5 0.5020 0.0020 0.5000
La6 0.7505 0.7505 0.0000
La7 0.9980 0.4980 0.5000
Mn1 0.1200 0.1262 0.5002
Mn2 0.1200 0.6198 0.9939
Mn3 0.3802 0.3740 0.5002
Mn4 0.3802 0.8800 0.0061
Mn5 0.6260 0.1262 0.0061
Mn6 0.6260 0.6198 0.4998
Mn7 0.8738 0.3740 0.9939
Mn8 0.8738 0.8800 0.4998
O1 0.0144 0.5144 0.0288
O2 0.0144 0.9856 0.5000
O3 0.1035 0.3844 0.7191
O4 0.1220 0.4172 0.2951
O5 0.1220 0.8269 0.7049
O6 0.1731 0.8780 0.2951
O7 0.2467 0.2467 0.4934
O8 0.2467 0.7533 0.0000
O9 0.3219 0.1236 0.1983
O10 0.3742 0.1694 0.7951
O11 0.3742 0.5791 0.2049
O12 0.4209 0.6258 0.7952
O13 0.4856 0.5144 0.5000
O14 0.4856 0.9856 0.9712
O15 0.5828 0.8780 0.7049
O16 0.6156 0.3346 0.7191
O17 0.6156 0.8965 0.2809
O18 0.6654 0.3844 0.2809
O19 0.7533 0.2467 0.0000
O20 0.7533 0.7533 0.5066
O21 0.8306 0.6258 0.2049
O22 0.8764 0.0747 0.1983
O23 0.8764 0.6781 0.8017
O24 0.9253 0.1236 0.8017

Principal peaks in the range 10 to 80 degrees two-theta, sorted by position:
d (Å)	I (rel.)
2.772	100
2.748	53
2.257	26
1.943	32
1.605	21
1.591	41